[1]
Starting from a DFT-relaxed cell (PBE, the Materials Project), the X-ray diffraction stick pattern of Tb2Co3Si5 was simulated for copper Kα.

Cell and atoms:
```
data_Tb2Co3Si5
_chemical_formula_sum 'Tb8 Co12 Si20'
_cell_length_a 10.8181
_cell_length_b 11.4804
_cell_length_c 5.5267
_cell_angle_alpha 90.00
_cell_angle_beta 118.69
_cell_angle_gamma 90.00
_symmetry_space_group_name_H-M 'C 1 2/c 1'
_symmetry_Int_Tables_number 15
_symmetry_space_group_name_Hall '-C 2yc'
loop_
_atom_site_label
_atom_site_fract_x
_atom_site_fract_y
_atom_site_fract_z
Tb1 0.2339 0.1355 0.2369
Co1 0.0000 0.4961 0.7500
Co2 0.0989 0.1379 0.6263
Si1 0.0000 0.0114 0.2500
Si2 0.0000 0.2700 0.2500
Si3 0.0000 0.2853 0.7500
Si4 0.1621 0.4004 0.1642
```

Main lines, sorted by position (2θ = 10–90°):
24.47°, rel. 57, hkl 2 2 -1
35.81°, rel. 91, hkl 2 2 1
36.60°, rel. 96, hkl 2 4 0
36.74°, rel. 100, hkl 4 2 -1
37.09°, rel. 61, hkl 0 0 2
45.58°, rel. 99, hkl 2 4 -2


[2]
Starting from a DFT-relaxed cell (PBE, the Materials Project), the X-ray diffraction stick pattern of FeMo2 was simulated for copper Kα.

Cell and atoms:
```
data_FeMo2
_chemical_formula_sum 'Fe4 Mo8'
_cell_length_a 3.1612
_cell_length_b 4.2882
_cell_length_c 12.8837
_cell_angle_alpha 90.00
_cell_angle_beta 90.00
_cell_angle_gamma 90.00
_symmetry_space_group_name_H-M 'F m m m'
_symmetry_Int_Tables_number 69
_symmetry_space_group_name_Hall '-F 2 2'
loop_
_atom_site_label
_atom_site_fract_x
_atom_site_fract_y
_atom_site_fract_z
Fe1 0.0000 0.0000 0.0000
Mo1 0.0000 0.0000 0.3386
```

Main lines, sorted by position (2θ = 10–90°):
41.24°, rel. 100, hkl 1 1 3
42.11°, rel. 47, hkl 0 2 0
61.08°, rel. 15, hkl 0 2 6
74.57°, rel. 16, hkl 2 2 0
76.33°, rel. 15, hkl 1 1 9
76.42°, rel. 15, hkl 1 3 3


[3]
Starting from a DFT-relaxed cell (PBE, the Materials Project), the X-ray diffraction stick pattern of EuCuTeF was simulated for copper Kα.

Cell and atoms:
```
data_EuCuTeF
_chemical_formula_sum 'Eu2 Cu2 Te2 F2'
_cell_length_a 4.2238
_cell_length_b 4.2238
_cell_length_c 9.2109
_cell_angle_alpha 90.00
_cell_angle_beta 90.00
_cell_angle_gamma 90.00
_symmetry_space_group_name_H-M 'P 4/n m m'
_symmetry_Int_Tables_number 129
loop_
_symmetry_equiv_pos_as_xyz
'x,y,z'
'-x,-y,-z'
'-y+1/2,x,z'
'y+1/2,-x,-z'
'-x+1/2,-y+1/2,z'
'x+1/2,y+1/2,-z'
'y,-x+1/2,z'
'-y,x+1/2,-z'
'x+1/2,-y,-z'
'-x+1/2,y,z'
'-y,-x,-z'
'y,x,z'
'-x,y+1/2,-z'
'x,-y+1/2,z'
'y+1/2,x+1/2,-z'
'-y+1/2,-x+1/2,z'
loop_
_atom_site_label
_atom_site_fract_x
_atom_site_fract_y
_atom_site_fract_z
Eu1 0.2500 0.2500 0.1529
Cu1 0.2500 0.7500 0.5000
Te1 0.2500 0.2500 0.6777
F1 0.2500 0.7500 0.0000
```

Main lines, sorted by position (2θ = 10–90°):
28.68°, rel. 100, hkl 1 0 2
29.92°, rel. 27, hkl 1 1 0
35.83°, rel. 45, hkl 1 1 2
42.82°, rel. 38, hkl 2 0 0
44.83°, rel. 24, hkl 1 0 4
52.35°, rel. 37, hkl 2 1 2


[4]
Starting from a DFT-relaxed cell (PBE, the Materials Project), the X-ray diffraction stick pattern of Li2ZnGe was simulated for copper Kα.

Cell and atoms:
```
data_Li2ZnGe
_chemical_formula_sum 'Li8 Zn4 Ge4'
_cell_length_a 6.1739
_cell_length_b 6.1739
_cell_length_c 6.1739
_cell_angle_alpha 90.00
_cell_angle_beta 90.00
_cell_angle_gamma 90.00
_symmetry_space_group_name_H-M 'F -4 3 m'
_symmetry_Int_Tables_number 216
_symmetry_space_group_name_Hall 'F -4 2 3'
loop_
_atom_site_label
_atom_site_fract_x
_atom_site_fract_y
_atom_site_fract_z
Li1 0.0000 0.0000 0.0000
Li2 0.2500 0.2500 0.2500
Zn1 0.2500 0.2500 0.7500
Ge1 0.0000 0.0000 0.5000
```

Main lines, sorted by position (2θ = 10–90°):
24.98°, rel. 97, hkl 1 1 1
41.36°, rel. 100, hkl 2 2 0
48.93°, rel. 46, hkl 3 1 1
59.93°, rel. 16, hkl 4 0 0
65.95°, rel. 18, hkl 3 3 1
75.43°, rel. 32, hkl 4 2 2


[5]
Starting from a DFT-relaxed cell (PBE, the Materials Project), the X-ray diffraction stick pattern of Sn3SbSe2I5 was simulated for copper Kα.

Cell and atoms:
```
data_Sn3SbSe2I5
_chemical_formula_sum 'Sn6 Sb2 Se4 I10'
_cell_length_a 14.3884
_cell_length_b 4.3760
_cell_length_c 12.7180
_cell_angle_alpha 90.00
_cell_angle_beta 98.41
_cell_angle_gamma 90.00
_symmetry_space_group_name_H-M 'C 1 m 1'
_symmetry_Int_Tables_number 8
_symmetry_space_group_name_Hall 'C -2y'
loop_
_atom_site_label
_atom_site_fract_x
_atom_site_fract_y
_atom_site_fract_z
Sn1 0.0000 0.0000 0.0000
Sn2 0.0240 0.0000 0.6550
Sn3 0.2825 0.0000 0.6961
Sb1 0.2986 0.0000 0.3542
Se1 0.3898 0.5000 0.7889
Se2 0.4121 0.0000 0.5519
I1 0.1131 0.5000 0.8419
I2 0.1595 0.5000 0.1822
I3 0.1953 0.5000 0.4855
I4 0.3583 0.0000 0.0357
I5 0.4371 0.5000 0.3096
```

Main lines, sorted by position (2θ = 10–90°):
26.20°, rel. 44, hkl 2 0 3
27.73°, rel. 100, hkl 3 1 0
29.51°, rel. 76, hkl 1 1 -3
29.92°, rel. 34, hkl 3 1 -2
30.83°, rel. 40, hkl 1 1 3
41.26°, rel. 38, hkl 0 2 0


[6]
Starting from a DFT-relaxed cell (PBE, the Materials Project), the X-ray diffraction stick pattern of Nb10Ge7 was simulated for copper Kα.

Cell and atoms:
```
data_Nb10Ge7
_chemical_formula_sum 'Nb10 Ge7'
_cell_length_a 7.8406
_cell_length_b 7.8406
_cell_length_c 5.4334
_cell_angle_alpha 90.00
_cell_angle_beta 90.00
_cell_angle_gamma 120.00
_symmetry_space_group_name_H-M 'P -3 1 m'
_symmetry_Int_Tables_number 162
_symmetry_space_group_name_Hall '-P 3 2'
loop_
_atom_site_label
_atom_site_fract_x
_atom_site_fract_y
_atom_site_fract_z
Nb1 0.0000 0.2642 0.2301
Nb2 0.3333 0.6667 0.0000
Nb3 0.3333 0.6667 0.5000
Ge1 0.0000 0.0000 0.5000
Ge2 0.0000 0.3906 0.7446
```

Main lines, sorted by position (2θ = 10–90°):
34.96°, rel. 16, hkl 2 1 0
38.81°, rel. 81, hkl 2 1 1
39.83°, rel. 72, hkl 3 0 0
40.39°, rel. 100, hkl 2 -1 2
58.02°, rel. 23, hkl 2 2 2
62.77°, rel. 23, hkl 3 -1 3


[7]
Starting from a DFT-relaxed cell (PBE, the Materials Project), the X-ray diffraction stick pattern of SbSO2F7 was simulated for copper Kα.

Cell and atoms:
```
data_SbSO2F7
_chemical_formula_sum 'Sb4 S4 O8 F28'
_cell_length_a 5.2188
_cell_length_b 8.2894
_cell_length_c 19.0342
_cell_angle_alpha 90.00
_cell_angle_beta 90.53
_cell_angle_gamma 90.00
_symmetry_space_group_name_H-M 'P 1 21/c 1'
_symmetry_Int_Tables_number 14
_symmetry_space_group_name_Hall '-P 2ybc'
loop_
_atom_site_label
_atom_site_fract_x
_atom_site_fract_y
_atom_site_fract_z
Sb1 0.1013 0.0963 0.1368
S1 0.4861 0.6362 0.1222
O1 0.3876 0.5020 0.1593
O2 0.4509 0.6681 0.0499
F1 0.0392 0.0522 0.9285
F2 0.0881 0.7156 0.8801
F3 0.0994 0.0067 0.7939
F4 0.2210 0.1538 0.3593
F5 0.3243 0.1574 0.2111
F6 0.3816 0.1206 0.0754
F7 0.4010 0.7049 0.6645
```

Main lines, sorted by position (2θ = 10–90°):
11.64°, rel. 53, hkl 0 1 1
18.65°, rel. 100, hkl 0 0 4
20.62°, rel. 80, hkl 1 1 -1
21.95°, rel. 63, hkl 0 2 1
22.12°, rel. 46, hkl 1 1 -2
24.65°, rel. 42, hkl 1 1 3


Repeat the third record exactly.
Starting from a DFT-relaxed cell (PBE, the Materials Project), the X-ray diffraction stick pattern of EuCuTeF was simulated for copper Kα.

Cell and atoms:
```
data_EuCuTeF
_chemical_formula_sum 'Eu2 Cu2 Te2 F2'
_cell_length_a 4.2238
_cell_length_b 4.2238
_cell_length_c 9.2109
_cell_angle_alpha 90.00
_cell_angle_beta 90.00
_cell_angle_gamma 90.00
_symmetry_space_group_name_H-M 'P 4/n m m'
_symmetry_Int_Tables_number 129
loop_
_symmetry_equiv_pos_as_xyz
'x,y,z'
'-x,-y,-z'
'-y+1/2,x,z'
'y+1/2,-x,-z'
'-x+1/2,-y+1/2,z'
'x+1/2,y+1/2,-z'
'y,-x+1/2,z'
'-y,x+1/2,-z'
'x+1/2,-y,-z'
'-x+1/2,y,z'
'-y,-x,-z'
'y,x,z'
'-x,y+1/2,-z'
'x,-y+1/2,z'
'y+1/2,x+1/2,-z'
'-y+1/2,-x+1/2,z'
loop_
_atom_site_label
_atom_site_fract_x
_atom_site_fract_y
_atom_site_fract_z
Eu1 0.2500 0.2500 0.1529
Cu1 0.2500 0.7500 0.5000
Te1 0.2500 0.2500 0.6777
F1 0.2500 0.7500 0.0000
```

Main lines, sorted by position (2θ = 10–90°):
28.68°, rel. 100, hkl 1 0 2
29.92°, rel. 27, hkl 1 1 0
35.83°, rel. 45, hkl 1 1 2
42.82°, rel. 38, hkl 2 0 0
44.83°, rel. 24, hkl 1 0 4
52.35°, rel. 37, hkl 2 1 2